(1)
The following is a theoretical powder diffractogram of Nd2Tm2CI5. It was derived from a DFT-relaxed cell (GGA-PBE, OQMD), using Cu Kα.

Structure:
Cell lengths 9.705, 9.705, 8.709 Å; angles 102.83, 102.83, 23.62 degrees
Positions (direct):
Nd: 0.136 0.136 0.068
Nd: 0.864 0.864 0.932
Tm: 0.500 0.500 0.184
Tm: 0.500 0.500 0.816
C: 0.000 0.000 0.000
I: 0.000 0.000 0.500
I: 0.335 0.335 0.194
I: 0.340 0.340 0.647
I: 0.660 0.660 0.353
I: 0.665 0.665 0.806

Largest 10 diffraction maxima, by angle, 10° ≤ 2θ ≤ 80°:
10.4 deg, intensity 22.5
27.5 deg, intensity 24.0
29.0 deg, intensity 52.4
29.9 deg, intensity 27.6
30.5 deg, intensity 100.0
33.1 deg, intensity 32.2
33.2 deg, intensity 19.6
35.2 deg, intensity 21.5
42.5 deg, intensity 56.4
45.7 deg, intensity 20.2

(2)
The following is a theoretical powder diffractogram of Co17Sb. It was derived from a DFT-relaxed cell (GGA-PBE, OQMD), using Cu Kα.

Structure:
Cell lengths 4.288, 4.945, 30.984 Å; angles 90.00, 90.04, 90.00 degrees
Positions (direct):
Co: 0.000 0.000 0.000
Co: 0.000 0.500 0.000
Co: 0.002 0.001 0.804
Co: 0.002 0.499 0.804
Co: 0.165 0.250 0.131
Co: 0.166 0.250 0.935
Co: 0.166 0.750 0.741
Co: 0.167 0.750 0.935
Co: 0.169 0.750 0.130
Co: 0.333 0.000 0.065
Co: 0.333 0.000 0.870
Co: 0.333 0.500 0.065
Co: 0.333 0.500 0.870
Co: 0.335 0.005 0.259
Co: 0.335 0.495 0.259
Co: 0.497 0.750 0.195
Co: 0.499 0.250 0.000
Co: 0.500 0.250 0.196
Co: 0.500 0.750 0.804
Co: 0.501 0.750 0.000
Co: 0.503 0.250 0.805
Co: 0.665 0.505 0.741
Co: 0.665 0.995 0.741
Co: 0.667 0.000 0.130
Co: 0.667 0.000 0.935
Co: 0.667 0.500 0.130
Co: 0.667 0.500 0.935
Co: 0.831 0.250 0.870
Co: 0.833 0.250 0.065
Co: 0.834 0.250 0.259
Co: 0.834 0.750 0.065
Co: 0.835 0.750 0.869
Co: 0.998 0.501 0.196
Co: 0.998 0.999 0.196
Sb: 0.164 0.250 0.715
Sb: 0.836 0.750 0.285

Largest 10 diffraction maxima, by angle, 10° ≤ 2θ ≤ 80°:
11.4 deg, intensity 22.5
43.8 deg, intensity 51.1
44.8 deg, intensity 100.0
45.9 deg, intensity 28.8
46.9 deg, intensity 12.6
51.8 deg, intensity 18.8
51.9 deg, intensity 36.0
53.8 deg, intensity 18.1
75.8 deg, intensity 10.4
77.1 deg, intensity 24.3

(3)
The following is a theoretical powder diffractogram of Dy2HoIn3Ir2. It was derived from a DFT-relaxed cell (GGA-PBE, OQMD), using Cu Kα.

Structure:
Cell lengths 3.648, 7.621, 7.621 Å; angles 119.99, 90.00, 90.00 degrees
Positions (direct):
Dy: 0.000 0.211 0.789
Dy: 0.000 0.789 0.211
Ho: 0.000 0.367 0.367
In: 0.500 0.024 0.024
In: 0.500 0.555 0.789
In: 0.500 0.789 0.555
Ir: 0.500 0.123 0.456
Ir: 0.500 0.456 0.123

Largest 10 diffraction maxima, by angle, 10° ≤ 2θ ≤ 80°:
13.4 deg, intensity 27.8
34.0 deg, intensity 100.0
36.0 deg, intensity 67.7
36.7 deg, intensity 70.2
41.0 deg, intensity 19.5
50.0 deg, intensity 17.3
56.2 deg, intensity 20.1
63.1 deg, intensity 26.0
66.9 deg, intensity 17.8
70.3 deg, intensity 22.6

(4)
The following is a theoretical powder diffractogram of Pr2Nd2CBr2Cl3. It was derived from a DFT-relaxed cell (GGA-PBE, OQMD), using Cu Kα.

Structure:
Cell lengths 9.369, 9.369, 8.192 Å; angles 104.20, 104.20, 24.19 degrees
Positions (direct):
Pr: 0.000 0.000 0.216
Pr: 0.000 0.000 0.784
Nd: 0.358 0.358 0.916
Nd: 0.642 0.642 0.084
C: 0.500 0.500 0.000
Br: 0.171 0.171 0.829
Br: 0.829 0.829 0.171
Cl: 0.161 0.161 0.339
Cl: 0.500 0.500 0.500
Cl: 0.839 0.839 0.661

Largest 10 diffraction maxima, by angle, 10° ≤ 2θ ≤ 80°:
11.2 deg, intensity 86.4
30.2 deg, intensity 45.0
31.6 deg, intensity 100.0
33.0 deg, intensity 17.0
33.9 deg, intensity 30.7
34.1 deg, intensity 22.4
43.8 deg, intensity 25.6
44.7 deg, intensity 30.6
46.2 deg, intensity 18.1
56.3 deg, intensity 17.3

(5)
The following is a theoretical powder diffractogram of Sc3Co2W. It was derived from a DFT-relaxed cell (GGA-PBE, OQMD), using Cu Kα.

Structure:
Cell lengths 5.506, 5.506, 3.844 Å; angles 90.00, 90.00, 120.00 degrees
Positions (direct):
Sc: 0.000 0.500 0.000
Sc: 0.500 0.000 0.000
Sc: 0.500 0.500 0.000
Co: 0.333 0.667 0.500
Co: 0.667 0.333 0.500
W: 0.000 0.000 0.500

Largest 10 diffraction maxima, by angle, 10° ≤ 2θ ≤ 80°:
23.1 deg, intensity 16.3
29.9 deg, intensity 49.0
32.5 deg, intensity 50.1
37.7 deg, intensity 31.3
40.3 deg, intensity 100.0
47.3 deg, intensity 16.2
56.4 deg, intensity 16.7
58.6 deg, intensity 18.5
63.3 deg, intensity 25.2
68.1 deg, intensity 15.4

(6)
The following is a theoretical powder diffractogram of Gd2SiPt. It was derived from a DFT-relaxed cell (GGA-PBE, OQMD), using Cu Kα.

Structure:
Cell lengths 4.284, 7.444, 5.767 Å; angles 90.00, 90.00, 90.00 degrees
Positions (direct):
Gd: 0.000 0.063 0.000
Gd: 0.000 0.583 0.237
Gd: 0.500 0.417 0.737
Gd: 0.500 0.937 0.500
Si: 0.000 0.704 0.730
Si: 0.500 0.296 0.230
Pt: 0.000 0.211 0.497
Pt: 0.500 0.789 0.997

Largest 10 diffraction maxima, by angle, 10° ≤ 2θ ≤ 80°:
19.5 deg, intensity 30.4
28.6 deg, intensity 40.3
31.9 deg, intensity 60.9
33.3 deg, intensity 48.3
35.5 deg, intensity 68.7
39.6 deg, intensity 100.0
42.2 deg, intensity 32.5
54.8 deg, intensity 23.6
59.2 deg, intensity 20.2
68.7 deg, intensity 23.2

(7)
The following is a theoretical powder diffractogram of Cu2Ag. It was derived from a DFT-relaxed cell (GGA-PBE, OQMD), using Cu Kα.

Structure:
Cell lengths 2.744, 2.744, 11.016 Å; angles 90.00, 90.00, 90.00 degrees
Positions (direct):
Cu: 0.250 0.250 0.074
Cu: 0.250 0.250 0.779
Cu: 0.750 0.750 0.221
Cu: 0.750 0.750 0.926
Ag: 0.250 0.250 0.398
Ag: 0.750 0.750 0.602

Largest 10 diffraction maxima, by angle, 10° ≤ 2θ ≤ 80°:
36.6 deg, intensity 15.3
41.0 deg, intensity 6.7
41.1 deg, intensity 100.0
46.8 deg, intensity 42.3
49.7 deg, intensity 8.6
63.9 deg, intensity 6.6
68.4 deg, intensity 11.6
68.8 deg, intensity 3.5
70.6 deg, intensity 11.1
77.6 deg, intensity 4.6

(8)
The following is a theoretical powder diffractogram of Rb3TlBi2Au2. It was derived from a DFT-relaxed cell (GGA-PBE, OQMD), using Cu Kα.

Structure:
Cell lengths 6.570, 7.021, 7.016 Å; angles 90.00, 110.29, 90.00 degrees
Positions (direct):
Rb: 0.000 0.000 0.000
Rb: 0.010 0.500 0.287
Rb: 0.645 0.500 0.606
Tl: 0.351 0.000 0.680
Bi: 0.241 0.500 0.857
Bi: 0.763 0.000 0.429
Au: 0.513 0.234 0.113
Au: 0.513 0.766 0.113

Largest 10 diffraction maxima, by angle, 10° ≤ 2θ ≤ 80°:
14.4 deg, intensity 30.8
15.9 deg, intensity 65.0
27.4 deg, intensity 26.2
28.9 deg, intensity 100.0
30.2 deg, intensity 53.0
34.5 deg, intensity 71.5
35.1 deg, intensity 22.4
38.9 deg, intensity 21.9
46.9 deg, intensity 26.5
59.9 deg, intensity 21.9

(9)
The following is a theoretical powder diffractogram of Zn4InGaO7. It was derived from a DFT-relaxed cell (GGA-PBE, OQMD), using Cu Kα.

Structure:
Cell lengths 3.295, 3.295, 32.990 Å; angles 90.00, 90.00, 120.00 degrees
Positions (direct):
Zn: 0.000 0.000 0.171
Zn: 0.000 0.000 0.329
Zn: 0.000 0.000 0.671
Zn: 0.000 0.000 0.829
Zn: 0.333 0.667 0.093
Zn: 0.333 0.667 0.407
Zn: 0.667 0.333 0.593
Zn: 0.667 0.333 0.907
In: 0.000 0.000 0.000
In: 0.000 0.000 0.500
Ga: 0.333 0.667 0.250
Ga: 0.667 0.333 0.750
O: 0.000 0.000 0.111
O: 0.000 0.000 0.250
O: 0.000 0.000 0.389
O: 0.000 0.000 0.611
O: 0.000 0.000 0.750
O: 0.000 0.000 0.889
O: 0.333 0.667 0.033
O: 0.333 0.667 0.190
O: 0.333 0.667 0.310
O: 0.333 0.667 0.467
O: 0.667 0.333 0.533
O: 0.667 0.333 0.690
O: 0.667 0.333 0.810
O: 0.667 0.333 0.967

Largest 10 diffraction maxima, by angle, 10° ≤ 2θ ≤ 80°:
31.4 deg, intensity 20.3
31.5 deg, intensity 38.6
32.6 deg, intensity 34.5
35.4 deg, intensity 100.0
45.8 deg, intensity 14.8
48.0 deg, intensity 16.7
55.8 deg, intensity 44.7
60.0 deg, intensity 25.8
66.1 deg, intensity 26.3
67.9 deg, intensity 14.9

(10)
The following is a theoretical powder diffractogram of GdErZn4. It was derived from a DFT-relaxed cell (GGA-PBE, OQMD), using Cu Kα.

Structure:
Cell lengths 5.637, 5.637, 5.637 Å; angles 133.35, 102.00, 96.07 degrees
Positions (direct):
Gd: 0.000 0.000 0.000
Er: 0.440 0.940 0.500
Zn: 0.010 0.303 0.706
Zn: 0.429 0.635 0.794
Zn: 0.597 0.303 0.294
Zn: 0.841 0.635 0.206

Largest 10 diffraction maxima, by angle, 10° ≤ 2θ ≤ 80°:
23.2 deg, intensity 20.4
33.6 deg, intensity 19.4
34.4 deg, intensity 100.0
34.7 deg, intensity 44.5
40.4 deg, intensity 30.8
41.2 deg, intensity 49.1
54.3 deg, intensity 27.9
66.8 deg, intensity 11.7
68.0 deg, intensity 11.2
69.6 deg, intensity 12.6